This entry pairs a crystal structure of Cs2BiOF3 with its simulated X-ray powder pattern. Radiation: Cu Kα (weighted mean of Kα1 and Kα2). Structure: a DFT-relaxed cell (PBE, Alexandria).
Lines closer than 0.1° are merged.

Structure:
a b c (Å): 4.5535 4.7889 15.2859
angles (deg): 90.00 90.00 90.00
Fractional coordinates of all 14 atoms:
Cs: 0.0000 0.0000 0.1478
Cs: 0.0000 0.0000 0.8522
Cs: 0.5000 0.5000 0.3522
Cs: 0.5000 0.5000 0.6478
Bi: 0.0000 0.0000 0.5000
Bi: 0.5000 0.5000 0.0000
O: 0.0000 0.5000 0.0000
O: 0.5000 0.0000 0.5000
F: 0.0000 0.0000 0.3452
F: 0.0000 0.0000 0.6548
F: 0.0000 0.5000 0.5000
F: 0.5000 0.0000 0.0000
F: 0.5000 0.5000 0.1548
F: 0.5000 0.5000 0.8452

Top 10 peaks for 10° ≤ 2θ ≤ 90°, sorted by position:
11.58°, 7.643 Å, intensity 37; 25.53°, 3.490 Å, intensity 86; 26.25°, 3.395 Å, intensity 83; 27.02°, 3.300 Å, intensity 100; 35.23°, 2.548 Å, intensity 26; 37.56°, 2.394 Å, intensity 28; 44.95°, 2.017 Å, intensity 37; 46.40°, 1.957 Å, intensity 37; 47.69°, 1.907 Å, intensity 33; 52.48°, 1.744 Å, intensity 24


This entry pairs a crystal structure of Nd3Y6Th with its simulated X-ray powder pattern. Radiation: Cu Kα (weighted mean of Kα1 and Kα2). Structure: a DFT-relaxed cell (PBE, Alexandria).
Lines closer than 0.1° are merged.

Structure:
a b c (Å): 11.0891 11.0891 6.3376
angles (deg): 90.00 90.00 119.06
Fractional coordinates of all 20 atoms:
Nd: 0.1117 0.8883 0.5000
Nd: 0.2142 0.4383 0.1118
Nd: 0.4383 0.2142 0.6118
Nd: 0.5617 0.7858 0.1118
Nd: 0.7858 0.5617 0.6118
Nd: 0.8883 0.1117 0.0000
Y: 0.0371 0.4555 0.6930
Y: 0.1191 0.2094 0.5258
Y: 0.2094 0.1191 0.0258
Y: 0.2263 0.7737 0.9209
Y: 0.4536 0.5464 0.6710
Y: 0.4555 0.0371 0.1930
Y: 0.5445 0.9629 0.6930
Y: 0.5464 0.4536 0.1710
Y: 0.7737 0.2263 0.4209
Y: 0.7906 0.8809 0.5258
Y: 0.8809 0.7906 0.0258
Y: 0.9629 0.5445 0.1930
Th: 0.2950 0.7050 0.4243
Th: 0.7050 0.2950 0.9243

Top 10 peaks for 10° ≤ 2θ ≤ 90°, sorted by position:
16.73°, 5.298 Å, intensity 34; 28.04°, 3.182 Å, intensity 64; 28.27°, 3.157 Å, intensity 54; 31.07°, 2.879 Å, intensity 60; 31.43°, 2.846 Å, intensity 100; 32.43°, 2.761 Å, intensity 36; 33.48°, 2.677 Å, intensity 37; 33.80°, 2.652 Å, intensity 51; 39.84°, 2.263 Å, intensity 31; 59.03°, 1.565 Å, intensity 30


This entry pairs a crystal structure of HoPdS with its simulated X-ray powder pattern. Radiation: Cu Kα (weighted mean of Kα1 and Kα2). Structure: a DFT-relaxed cell (PBE, Alexandria).
Lines closer than 0.1° are merged.

Structure:
a b c (Å): 9.5456 3.8718 6.6884
angles (deg): 90.00 103.89 90.00
Fractional coordinates of all 12 atoms:
Ho: 0.1057 0.0000 0.2658
Ho: 0.3943 0.5000 0.7342
Ho: 0.6057 0.5000 0.2658
Ho: 0.8943 0.0000 0.7342
Pd: 0.1226 0.5000 0.9281
Pd: 0.3774 0.0000 0.0719
Pd: 0.6226 0.0000 0.9281
Pd: 0.8774 0.5000 0.0719
S: 0.1764 0.0000 0.6894
S: 0.3236 0.5000 0.3106
S: 0.6764 0.5000 0.6894
S: 0.8236 0.0000 0.3106

Top 10 peaks for 10° ≤ 2θ ≤ 90°, sorted by position:
13.64°, 6.493 Å, intensity 34; 20.71°, 4.290 Å, intensity 22; 29.62°, 3.016 Å, intensity 100; 35.60°, 2.522 Å, intensity 21; 37.21°, 2.416 Å, intensity 92; 38.88°, 2.317 Å, intensity 37; 39.18°, 2.299 Å, intensity 63; 41.60°, 2.171 Å, intensity 28; 42.27°, 2.138 Å, intensity 32; 46.93°, 1.936 Å, intensity 29